No. 1
Starting from a DFT-relaxed cell (GGA-PBE, the Materials Project), the powder diffraction line list of Dy2GaCo2 was computed for copper Kα.
Kinematic intensities with the Lorentz-polarization factor, no thermal factor.

Structure:
```
Dy2GaCo2
1.0
4.074 0.000 0.000
0.000 5.434 0.000
0.000 0.000 8.374
Dy Ga Co
4 2 4
Cartesian
0.000 0.000 1.728
0.000 0.000 6.646
2.037 2.717 2.459
2.037 2.717 5.916
0.000 2.717 0.000
2.037 0.000 4.187
0.000 1.554 4.187
0.000 3.880 4.187
2.037 1.163 0.000
2.037 4.271 0.000
```

Principal peaks in the range 2θ = 10–90°, in order of rising 2θ:
d 3.260, I = 32; d 2.717, I = 16; d 2.572, I = 100; d 2.483, I = 25; d 2.303, I = 21; d 2.279, I = 24; d 2.182, I = 33; d 2.037, I = 24; d 1.519, I = 24; d 1.346, I = 23

=====

No. 2
Starting from a DFT-relaxed cell (GGA-PBE, the Materials Project), the powder diffraction line list of YB2Mo was computed for copper Kα.
Kinematic intensities with the Lorentz-polarization factor, no thermal factor.

Structure:
```
YB2Mo
1.0
3.142 0.000 0.000
0.000 3.345 0.000
0.000 0.000 10.224
Y B Mo
2 4 2
Cartesian
0.000 0.000 0.000
0.000 1.673 5.112
0.000 0.000 2.899
0.000 1.673 8.011
1.571 0.000 3.743
1.571 1.673 8.855
1.571 0.000 7.377
1.571 1.673 2.265
```

Principal peaks in the range 2θ = 10–90°, in order of rising 2θ:
d 3.179, I = 55; d 2.677, I = 100; d 2.556, I = 41; d 2.387, I = 67; d 2.235, I = 82; d 1.901, I = 23; d 1.525, I = 32; d 1.419, I = 27; d 1.339, I = 22; d 1.312, I = 19

=====

No. 3
Starting from a DFT-relaxed cell (GGA-PBE, the Materials Project), the powder diffraction line list of Sm3Sc was computed for copper Kα.
Kinematic intensities with the Lorentz-polarization factor, no thermal factor.

Structure:
```
Sm3Sc
1.0
5.030 0.000 0.000
0.000 5.030 0.000
0.000 0.000 9.939
Sm Sc
6 2
Cartesian
0.000 0.000 0.000
0.000 2.515 2.485
0.000 2.515 7.454
2.515 0.000 2.485
2.515 0.000 7.454
2.515 2.515 4.970
0.000 0.000 4.970
2.515 2.515 0.000
```

Principal peaks in the range 2θ = 10–90°, in order of rising 2θ:
d 4.488, I = 13; d 2.892, I = 100; d 2.515, I = 34; d 2.485, I = 16; d 1.778, I = 12; d 1.768, I = 23; d 1.515, I = 28; d 1.502, I = 14; d 1.446, I = 12; d 1.147, I = 11

=====

No. 4
Starting from a DFT-relaxed cell (GGA-PBE, the Materials Project), the powder diffraction line list of Sb2OF8 was computed for copper Kα.
Kinematic intensities with the Lorentz-polarization factor, no thermal factor.

Structure:
```
Sb2OF8
1.0
9.249 0.000 0.000
0.000 5.547 0.000
-3.854 0.000 15.138
Sb O F
8 4 32
Cartesian
-0.283 0.381 2.371
-2.210 5.166 9.940
1.296 1.083 9.464
3.223 4.464 1.895
2.171 1.083 13.243
4.099 4.464 5.674
7.605 0.381 5.198
5.677 5.166 12.767
-0.511 0.299 9.777
1.416 5.248 2.207
3.978 0.299 12.931
5.905 5.248 5.362
-2.891 1.031 11.354
-0.964 4.516 3.785
-0.226 2.092 1.612
-2.153 3.455 9.181
-2.591 0.522 14.085
-0.664 5.025 6.516
0.132 1.072 4.301
-1.795 4.476 11.870
0.778 1.781 7.786
2.705 3.766 0.217
0.668 2.591 10.422
2.595 2.956 2.853
0.380 1.684 13.275
2.307 3.863 5.706
3.732 0.621 1.254
1.805 4.927 8.823
1.734 0.290 11.354
3.661 5.257 3.785
3.589 0.621 6.316
1.662 4.927 13.885
3.087 1.684 9.433
5.015 3.863 1.864
2.800 2.591 12.285
4.727 2.956 4.716
2.690 1.781 14.921
4.617 3.766 7.352
7.189 1.072 3.269
5.262 4.476 10.838
6.058 0.522 8.622
7.985 5.025 1.053
7.547 2.092 5.957
5.620 3.455 13.526
```

Principal peaks in the range 2θ = 10–90°, in order of rising 2θ:
d 5.547, I = 74; d 5.190, I = 64; d 4.717, I = 23; d 4.679, I = 100; d 4.480, I = 54; d 4.352, I = 48; d 3.786, I = 67; d 3.486, I = 24; d 2.249, I = 25; d 2.098, I = 28

=====

No. 5
Starting from a DFT-relaxed cell (GGA-PBE, the Materials Project), the powder diffraction line list of NaTa3N5 was computed for copper Kα.
Kinematic intensities with the Lorentz-polarization factor, no thermal factor.

Structure:
```
NaTa3N5
1.0
2.020 -5.131 0.000
2.020 5.131 0.000
0.000 0.000 10.424
Na Ta N
2 6 10
Cartesian
2.020 5.090 7.818
2.020 -5.090 2.606
2.020 2.088 7.818
2.020 1.435 0.488
2.020 1.435 4.724
2.020 -1.435 5.700
2.020 -1.435 9.936
2.020 -2.088 2.606
2.020 3.294 6.035
2.020 3.294 9.602
2.020 2.601 2.606
2.020 0.465 6.479
2.020 0.465 9.158
2.020 -0.465 1.266
2.020 -0.465 3.946
2.020 -2.601 7.818
2.020 -3.294 0.822
2.020 -3.294 4.390
```

Principal peaks in the range 2θ = 10–90°, in order of rising 2θ:
d 5.131, I = 45; d 3.758, I = 81; d 3.049, I = 32; d 2.877, I = 80; d 2.609, I = 100; d 2.551, I = 93; d 2.302, I = 45; d 2.020, I = 40; d 1.844, I = 29; d 1.653, I = 31

=====

No. 6
Starting from a DFT-relaxed cell (GGA-PBE, the Materials Project), the powder diffraction line list of BaSrPrNbO6 was computed for copper Kα.
Kinematic intensities with the Lorentz-polarization factor, no thermal factor.

Structure:
```
BaSrPrNbO6
1.0
0.000 4.352 4.352
4.352 0.000 4.352
4.352 4.352 0.000
Ba Sr Pr Nb O
1 1 1 1 6
Cartesian
0.000 0.000 0.000
4.352 4.352 4.352
6.528 6.528 6.528
2.176 2.176 2.176
2.176 2.176 0.159
2.176 0.159 2.176
4.193 2.176 2.176
0.159 2.176 2.176
2.176 4.193 2.176
2.176 2.176 4.193
```

Principal peaks in the range 2θ = 10–90°, in order of rising 2θ:
d 5.025, I = 3; d 4.352, I = 2; d 3.077, I = 100; d 2.624, I = 3; d 2.176, I = 31; d 1.777, I = 40; d 1.539, I = 20; d 1.376, I = 18; d 1.256, I = 6; d 1.163, I = 21

=====

No. 7
Starting from a DFT-relaxed cell (GGA-PBE, the Materials Project), the powder diffraction line list of MoW2S6 was computed for copper Kα.
Kinematic intensities with the Lorentz-polarization factor, no thermal factor.

Structure:
```
MoW2S6
1.0
3.190 0.000 0.000
-1.595 2.763 0.000
0.000 0.000 29.099
Mo W S
1 2 6
Cartesian
0.000 0.000 0.000
0.000 0.000 13.464
0.000 1.842 6.732
0.000 0.000 5.161
0.000 0.000 8.303
0.000 1.842 1.565
0.000 1.842 11.892
0.000 1.842 15.035
0.000 1.842 27.534
```

Principal peaks in the range 2θ = 10–90°, in order of rising 2θ:
d 7.275, I = 100; d 5.820, I = 28; d 2.763, I = 14; d 2.714, I = 18; d 2.583, I = 13; d 2.400, I = 30; d 2.301, I = 30; d 2.004, I = 13; d 1.911, I = 24; d 1.594, I = 15